RbHfMg6O7: theoretical X-ray diffraction stick pattern (a wavelength of 1.5418 Å), based on a crystal structure in the Materials Project, relaxed with PBE.

Largest 10 diffraction maxima, most intense first, 2θ = 10–90°:
(hkl)	2θ/deg	I_rel
1 0 2	25.61	100
1 0 3	29.90	88
1 1 1	31.53	70
2 0 0	44.05	70
1 0 1	22.67	68
0 0 2	13.56	68
1 1 2	33.75	49
1 0 4	35.10	49
0 0 5	34.34	40
2 1 3	54.15	34

Atomic structure:
```
data_RbHfMg6O7
_chemical_formula_sum 'Rb1 Hf1 Mg6 O7'
_cell_length_a 4.1114
_cell_length_b 4.1114
_cell_length_c 13.0577
_cell_angle_alpha 90.00
_cell_angle_beta 90.00
_cell_angle_gamma 90.00
_space_group_name_H-M_alt 'P 4 m m'
_space_group_IT_number 99
_space_group_name_Hall 'P 4 -2'
loop_
_atom_site_label
_atom_site_fract_x
_atom_site_fract_y
_atom_site_fract_z
Rb1 0.0000 0.0000 0.0000
Hf1 0.5000 0.5000 0.8431
Mg1 0.0000 0.0000 0.4582
Mg2 0.0000 0.5000 0.2673
Mg3 0.0000 0.5000 0.6532
Mg4 0.5000 0.5000 0.4635
O1 0.0000 0.0000 0.6094
O2 0.0000 0.5000 0.4232
O3 0.0000 0.5000 0.8060
O4 0.5000 0.5000 0.6202
O5 0.5000 0.5000 0.9877
```

---

RbHfMg14O15: theoretical X-ray diffraction stick pattern (a wavelength of 1.5418 Å), based on a crystal structure in the Materials Project, relaxed with PBE.

Largest 10 diffraction maxima, most intense first, 2θ = 10–90°:
(hkl)	2θ/deg	I_rel
0 2 2	26.89	100
1 2 2	34.55	82
2 0 0	43.37	62
1 0 2	25.70	54
0 0 4	28.68	46
0 4 0	46.35	44
1 0 1	22.47	44
0 1 0	11.29	44
0 2 1	23.81	43
0 0 2	14.23	42

Atomic structure:
```
data_RbHfMg14O15
_chemical_formula_sum 'Rb1 Hf1 Mg14 O15'
_cell_length_a 4.1728
_cell_length_b 7.8354
_cell_length_c 12.4513
_cell_angle_alpha 90.00
_cell_angle_beta 90.00
_cell_angle_gamma 90.00
_space_group_name_H-M_alt 'P m m 2'
_space_group_IT_number 25
_space_group_name_Hall 'P 2 -2'
loop_
_atom_site_label
_atom_site_fract_x
_atom_site_fract_y
_atom_site_fract_z
Rb1 0.0000 0.0000 0.0000
Hf1 0.0000 0.5000 0.0251
Mg1 0.0000 0.0000 0.5303
Mg2 0.0000 0.2579 0.3039
Mg3 0.0000 0.2620 0.7499
Mg4 0.0000 0.5000 0.5213
Mg5 0.5000 0.0000 0.3121
Mg6 0.5000 0.0000 0.7414
Mg7 0.5000 0.2467 0.1397
Mg8 0.5000 0.2625 0.5824
Mg9 0.5000 0.5000 0.3615
Mg10 0.5000 0.5000 0.8335
O1 0.0000 0.0000 0.3607
O2 0.0000 0.2599 0.5817
O3 0.0000 0.3079 0.1310
O4 0.0000 0.5000 0.3611
O5 0.0000 0.5000 0.8535
O6 0.5000 0.0000 0.1440
O7 0.5000 0.0000 0.5679
O8 0.5000 0.2615 0.3018
O9 0.5000 0.2761 0.7487
O10 0.5000 0.5000 0.0159
O11 0.5000 0.5000 0.5220
```

---

RbHfMg6O7: theoretical X-ray diffraction stick pattern (a wavelength of 1.5418 Å), based on a crystal structure in the Materials Project, relaxed with PBE.

Largest 10 diffraction maxima, most intense first, 2θ = 10–90°:
(hkl)	2θ/deg	I_rel
1 0 2	25.31	100
1 1 2	33.11	97
1 0 0	20.99	81
0 0 2	13.99	73
0 0 5	35.43	67
2 0 0	42.73	63
2 0 5	56.68	42
0 0 4	28.20	33
2 1 2	50.32	31
1 0 1	22.15	26

Atomic structure:
```
data_RbHfMg6O7
_chemical_formula_sum 'Rb1 Hf1 Mg6 O7'
_cell_length_a 4.2325
_cell_length_b 4.2325
_cell_length_c 12.6582
_cell_angle_alpha 90.00
_cell_angle_beta 90.00
_cell_angle_gamma 90.00
_space_group_name_H-M_alt 'P 4 m m'
_space_group_IT_number 99
_space_group_name_Hall 'P 4 -2'
loop_
_atom_site_label
_atom_site_fract_x
_atom_site_fract_y
_atom_site_fract_z
Rb1 0.0000 0.0000 0.0000
Hf1 0.0000 0.0000 0.4960
Mg1 0.0000 0.5000 0.2843
Mg2 0.0000 0.5000 0.7155
Mg3 0.5000 0.5000 0.5211
Mg4 0.5000 0.5000 0.8719
O1 0.0000 0.0000 0.3260
O2 0.0000 0.0000 0.6563
O3 0.0000 0.5000 0.4929
O4 0.0000 0.5000 0.8671
O5 0.5000 0.5000 0.6800
```

---

RbHfMg14O15: theoretical X-ray diffraction stick pattern (a wavelength of 1.5418 Å), based on a crystal structure in the Materials Project, relaxed with PBE.

Largest 10 diffraction maxima, most intense first, 2θ = 10–90°:
(hkl)	2θ/deg	I_rel
1 2 2	34.53	100
2 0 0	43.31	76
0 2 2	26.89	68
0 4 0	42.98	64
0 2 1	22.68	56
1 0 1	22.83	50
1 2 1	31.29	48
1 0 2	26.99	47
0 0 4	33.21	42
0 0 2	16.43	41

Atomic structure:
```
data_RbHfMg14O15
_chemical_formula_sum 'Rb1 Hf1 Mg14 O15'
_cell_length_a 4.1776
_cell_length_b 8.4178
_cell_length_c 10.7896
_cell_angle_alpha 90.00
_cell_angle_beta 90.00
_cell_angle_gamma 90.00
_space_group_name_H-M_alt 'P m m 2'
_space_group_IT_number 25
_space_group_name_Hall 'P 2 -2'
loop_
_atom_site_label
_atom_site_fract_x
_atom_site_fract_y
_atom_site_fract_z
Rb1 0.0000 0.0000 0.0000
Hf1 0.0000 0.5000 0.0534
Mg1 0.0000 0.0000 0.5376
Mg2 0.0000 0.2468 0.3300
Mg3 0.0000 0.2523 0.7477
Mg4 0.0000 0.5000 0.5240
Mg5 0.5000 0.0000 0.3319
Mg6 0.5000 0.0000 0.7358
Mg7 0.5000 0.2335 0.1410
Mg8 0.5000 0.2556 0.5451
Mg9 0.5000 0.5000 0.3344
Mg10 0.5000 0.5000 0.7877
O1 0.0000 0.0000 0.3531
O2 0.0000 0.2570 0.5491
O3 0.0000 0.2811 0.1270
O4 0.0000 0.5000 0.3377
O5 0.0000 0.5000 0.8565
O6 0.5000 0.0000 0.1429
O7 0.5000 0.0000 0.5453
O8 0.5000 0.2539 0.3332
O9 0.5000 0.2585 0.7480
O10 0.5000 0.5000 0.0980
O11 0.5000 0.5000 0.5399
```

---

RbHfMg6O7: theoretical X-ray diffraction stick pattern (a wavelength of 1.5418 Å), based on a crystal structure in the Materials Project, relaxed with PBE.

Largest 10 diffraction maxima, most intense first, 2θ = 10–90°:
(hkl)	2θ/deg	I_rel
1 0 2	25.39	100
1 1 2	33.18	81
0 0 2	14.09	63
2 0 0	42.76	53
1 0 4	35.60	45
1 0 0	21.01	44
2 0 5	56.85	37
2 1 2	50.39	30
0 0 4	28.41	24
1 1 0	29.88	19

Atomic structure:
```
data_RbHfMg6O7
_chemical_formula_sum 'Rb1 Hf1 Mg6 O7'
_cell_length_a 4.2291
_cell_length_b 4.2291
_cell_length_c 12.5683
_cell_angle_alpha 90.00
_cell_angle_beta 90.00
_cell_angle_gamma 90.00
_space_group_name_H-M_alt 'P 4 m m'
_space_group_IT_number 99
_space_group_name_Hall 'P 4 -2'
loop_
_atom_site_label
_atom_site_fract_x
_atom_site_fract_y
_atom_site_fract_z
Rb1 0.0000 0.0000 0.0000
Hf1 0.0000 0.0000 0.5036
Mg1 0.0000 0.5000 0.2997
Mg2 0.0000 0.5000 0.7128
Mg3 0.5000 0.5000 0.5000
Mg4 0.5000 0.5000 0.8704
O1 0.0000 0.0000 0.6604
O2 0.0000 0.5000 0.4919
O3 0.0000 0.5000 0.8647
O4 0.5000 0.5000 0.3282
O5 0.5000 0.5000 0.6703
```

---

RbHfMg14O15: theoretical X-ray diffraction stick pattern (a wavelength of 1.5418 Å), based on a crystal structure in the Materials Project, relaxed with PBE.

Largest 10 diffraction maxima, most intense first, 2θ = 10–90°:
(hkl)	2θ/deg	I_rel
1 2 2	34.62	100
2 0 0	43.72	66
0 4 0	42.88	66
0 2 1	22.63	51
0 1 1	13.32	50
1 0 2	27.14	48
0 2 2	26.83	45
0 0 2	16.43	44
1 2 1	31.39	44
1 0 1	23.00	43

Atomic structure:
```
data_RbHfMg14O15
_chemical_formula_sum 'Rb1 Hf1 Mg14 O15'
_cell_length_a 4.1412
_cell_length_b 8.4367
_cell_length_c 10.7913
_cell_angle_alpha 90.00
_cell_angle_beta 90.00
_cell_angle_gamma 90.00
_space_group_name_H-M_alt 'P m m 2'
_space_group_IT_number 25
_space_group_name_Hall 'P 2 -2'
loop_
_atom_site_label
_atom_site_fract_x
_atom_site_fract_y
_atom_site_fract_z
Rb1 0.0000 0.0000 0.0000
Hf1 0.0000 0.5000 0.0580
Mg1 0.0000 0.0000 0.5431
Mg2 0.0000 0.2418 0.7478
Mg3 0.0000 0.2478 0.3386
Mg4 0.0000 0.5000 0.5368
Mg5 0.5000 0.0000 0.3368
Mg6 0.5000 0.0000 0.7358
Mg7 0.5000 0.2352 0.1476
Mg8 0.5000 0.2548 0.5493
Mg9 0.5000 0.5000 0.3300
Mg10 0.5000 0.5000 0.7877
O1 0.0000 0.0000 0.3577
O2 0.0000 0.0000 0.7455
O3 0.0000 0.2555 0.5538
O4 0.0000 0.2813 0.1290
O5 0.0000 0.5000 0.3510
O6 0.5000 0.0000 0.1461
O7 0.5000 0.0000 0.5475
O8 0.5000 0.2460 0.7549
O9 0.5000 0.2541 0.3404
O10 0.5000 0.5000 0.1294
O11 0.5000 0.5000 0.5643
```

---

RbHfMg14O15: theoretical X-ray diffraction stick pattern (a wavelength of 1.5418 Å), based on a crystal structure in the Materials Project, relaxed with PBE.

Largest 10 diffraction maxima, most intense first, 2θ = 10–90°:
(hkl)	2θ/deg	I_rel
0 1 1	14.24	100
1 2 2	35.25	86
2 0 0	40.72	79
0 4 0	40.59	77
1 1 1	24.67	71
0 0 4	41.49	64
1 0 2	28.72	55
0 2 0	20.00	49
2 4 0	58.85	46
2 0 4	59.54	39

Atomic structure:
```
data_RbHfMg14O15
_chemical_formula_sum 'Rb1 Hf1 Mg14 O15'
_cell_length_a 4.4314
_cell_length_b 8.8914
_cell_length_c 8.7067
_cell_angle_alpha 90.00
_cell_angle_beta 90.00
_cell_angle_gamma 90.00
_space_group_name_H-M_alt 'P m m 2'
_space_group_IT_number 25
_space_group_name_Hall 'P 2 -2'
loop_
_atom_site_label
_atom_site_fract_x
_atom_site_fract_y
_atom_site_fract_z
Rb1 0.0000 0.0000 0.0000
Hf1 0.0000 0.5000 0.5394
Mg1 0.0000 0.0000 0.5521
Mg2 0.0000 0.2361 0.2880
Mg3 0.0000 0.2620 0.7990
Mg4 0.0000 0.5000 0.0530
Mg5 0.5000 0.0000 0.2987
Mg6 0.5000 0.0000 0.7796
Mg7 0.5000 0.2408 0.5436
Mg8 0.5000 0.2511 0.0518
Mg9 0.5000 0.5000 0.2866
Mg10 0.5000 0.5000 0.8075
O1 0.0000 0.0000 0.3212
O2 0.0000 0.2600 0.5418
O3 0.0000 0.2790 0.0483
O4 0.0000 0.5000 0.2983
O5 0.0000 0.5000 0.7895
O6 0.5000 0.0000 0.0729
O7 0.5000 0.0000 0.5410
O8 0.5000 0.2544 0.2995
O9 0.5000 0.2548 0.7968
O10 0.5000 0.5000 0.0472
O11 0.5000 0.5000 0.5438
```